Record 1
Computed powder X-ray diffraction pattern of Ta3PdS6 for a wavelength of 1.5418 Å, from a crystal structure in Alexandria, relaxed with GGA-PBE.
Kinematic intensities with the Lorentz-polarization factor, no thermal factor.

Cell and atoms:
a = 7.775 Å, b = 7.775 Å, c = 6.042 Å
α = 90.00°, β = 90.00°, γ = 102.96°
Atoms (fractional coordinates):
Ta1 0.096 0.904 0.500
Ta2 0.233 0.460 0.410
Ta3 0.460 0.233 0.910
Ta4 0.540 0.767 0.410
Ta5 0.767 0.540 0.910
Ta6 0.904 0.096 0.000
Pd1 0.280 0.720 0.793
Pd2 0.720 0.280 0.293
S1 0.012 0.593 0.621
S2 0.142 0.198 0.709
S3 0.198 0.142 0.209
S4 0.259 0.741 0.217
S5 0.407 0.988 0.621
S6 0.474 0.526 0.713
S7 0.526 0.474 0.213
S8 0.593 0.012 0.121
S9 0.741 0.259 0.717
S10 0.802 0.858 0.709
S11 0.858 0.802 0.209
S12 0.988 0.407 0.121

Largest 8 diffraction maxima, sorted by position, 5° ≤ 2θ ≤ 70°:
2θ 18.8, d 4.724, I = 71.2
2θ 27.8, d 3.210, I = 61.8
2θ 28.1, d 3.180, I = 100.0
2θ 32.3, d 2.772, I = 27.6
2θ 41.6, d 2.170, I = 52.9
2θ 42.2, d 2.143, I = 38.3
2θ 42.9, d 2.108, I = 45.5
2θ 46.7, d 1.944, I = 54.0

***

Record 2
Computed powder X-ray diffraction pattern of KMg6CO8 for a wavelength of 1.5418 Å, from a crystal structure in Alexandria, relaxed with GGA-PBE.
Kinematic intensities with the Lorentz-polarization factor, no thermal factor.

Cell and atoms:
a = 4.777 Å, b = 4.777 Å, c = 7.886 Å
α = 90.00°, β = 90.00°, γ = 90.00°
Atoms (fractional coordinates):
K1 0.000 0.000 0.000
Mg1 0.000 0.500 0.256
Mg2 0.000 0.500 0.744
Mg3 0.500 0.000 0.256
Mg4 0.500 0.000 0.744
Mg5 0.500 0.500 0.000
Mg6 0.500 0.500 0.500
C1 0.000 0.000 0.500
O1 0.000 0.000 0.336
O2 0.000 0.000 0.664
O3 0.000 0.500 0.000
O4 0.000 0.500 0.500
O5 0.500 0.000 0.000
O6 0.500 0.000 0.500
O7 0.500 0.500 0.250
O8 0.500 0.500 0.750

Largest 8 diffraction maxima, sorted by position, 5° ≤ 2θ ≤ 70°:
2θ 35.0, d 2.565, I = 17.5
2θ 37.7, d 2.388, I = 100.0
2θ 39.1, d 2.303, I = 6.2
2θ 46.0, d 1.971, I = 18.7
2θ 54.3, d 1.689, I = 29.3
2θ 55.4, d 1.658, I = 3.7
2θ 60.9, d 1.520, I = 28.7
2θ 66.3, d 1.411, I = 7.4